No. 1
Structure and simulated XRD peak list of Li2SbS4 (a GGA-PBE-relaxed structure; λ = 1.5418 Å (Cu Kα)).
No peak broadening, texture or thermal motion is included.

Crystal structure
Cell: 6.740 7.695 10.969 Å, 90.00 90.00 90.00°
Space group Imma (No. 74)
Inequivalent atoms, fractional coordinates:
Li 0.000 0.250 0.155 [4 per cell]
Li 0.250 0.250 0.750 [4 per cell]
Sb 0.000 0.000 0.500 [4 per cell]
S 0.000 0.006 0.728 [8 per cell]
S 0.244 0.250 0.988 [8 per cell]

Largest 6 diffraction maxima, low angle first, 15° ≤ 2θ ≤ 90°:
| 2θ/deg | d/Å | I/Imax |
| --- | --- | --- |
| 15.43 | 5.742 | 100.0 |
| 16.16 | 5.485 | 38.1 |
| 27.91 | 3.196 | 56.9 |
| 32.65 | 2.742 | 30.2 |
| 35.41 | 2.535 | 52.2 |
| 48.93 | 1.861 | 38.0 |

***

No. 2
Structure and simulated XRD peak list of LiMg5Cd2 (a GGA-PBE-relaxed structure; λ = 1.5418 Å (Cu Kα)).
No peak broadening, texture or thermal motion is included.

Crystal structure
Cell: 4.617 10.008 15.029 Å, 90.00 90.00 90.00°
Space group Cmcm (No. 63)
Inequivalent atoms, fractional coordinates:
Li 0.000 0.219 0.250 [4 per cell]
Mg 0.000 0.054 0.097 [8 per cell]
Mg 0.000 0.356 0.041 [8 per cell]
Mg 0.000 0.498 0.250 [4 per cell]
Cd 0.000 0.238 0.649 [8 per cell]

Largest 6 diffraction maxima, low angle first, 15° ≤ 2θ ≤ 90°:
| 2θ/deg | d/Å | I/Imax |
| --- | --- | --- |
| 17.72 | 5.004 | 51.5 |
| 22.01 | 4.039 | 100.0 |
| 29.73 | 3.005 | 27.9 |
| 33.68 | 2.661 | 57.9 |
| 36.79 | 2.443 | 79.8 |
| 39.01 | 2.309 | 29.6 |

***

No. 3
Structure and simulated XRD peak list of Tb5InRu3 (a GGA-PBE-relaxed structure; λ = 1.5418 Å (Cu Kα)).
No peak broadening, texture or thermal motion is included.

Crystal structure
Cell: 12.163 8.951 9.865 Å, 90.00 111.69 90.00°
Space group C2/m (No. 12)
Inequivalent atoms, fractional coordinates:
Tb 0.000 0.204 0.000 [4 per cell]
Tb 0.045 0.000 0.354 [4 per cell]
Tb 0.173 0.306 0.651 [8 per cell]
Tb 0.235 0.500 0.046 [4 per cell]
In 0.081 0.500 0.290 [4 per cell]
Ru 0.000 0.500 0.000 [2 per cell]
Ru 0.000 0.500 0.500 [2 per cell]
Ru 0.163 0.000 0.165 [4 per cell]
Ru 0.181 0.000 0.647 [4 per cell]

Largest 6 diffraction maxima, low angle first, 15° ≤ 2θ ≤ 90°:
| 2θ/deg | d/Å | I/Imax |
| --- | --- | --- |
| 19.89 | 4.464 | 45.5 |
| 29.25 | 3.053 | 100.0 |
| 29.44 | 3.034 | 30.5 |
| 38.46 | 2.341 | 29.3 |
| 48.33 | 1.883 | 31.5 |
| 48.54 | 1.875 | 27.8 |

***

No. 4
Structure and simulated XRD peak list of KNaSn (a GGA-PBE-relaxed structure; λ = 1.5418 Å (Cu Kα)).
No peak broadening, texture or thermal motion is included.

Crystal structure
Cell: 8.970 8.970 6.434 Å, 90.00 90.00 90.00°
Space group P4_12_12 (No. 92)
Inequivalent atoms, fractional coordinates:
K 0.232 0.232 0.000 [4 per cell]
Na 0.209 0.791 0.750 [4 per cell]
Sn 0.043 0.043 0.500 [4 per cell]

Largest 6 diffraction maxima, low angle first, 15° ≤ 2θ ≤ 90°:
| 2θ/deg | d/Å | I/Imax |
| --- | --- | --- |
| 26.18 | 3.404 | 61.6 |
| 28.14 | 3.171 | 93.6 |
| 29.50 | 3.028 | 100.0 |
| 31.50 | 2.840 | 69.9 |
| 34.56 | 2.596 | 56.6 |
| 35.78 | 2.510 | 94.7 |

***

No. 5
Structure and simulated XRD peak list of Tb3Y3Pt2 (a GGA-PBE-relaxed structure; λ = 1.5418 Å (Cu Kα)).
No peak broadening, texture or thermal motion is included.

Crystal structure
Cell: 3.779 13.255 18.619 Å, 90.00 90.00 90.00°
Space group Cmcm (No. 63)
Inequivalent atoms, fractional coordinates:
Tb 0.000 0.060 0.250 [4 per cell]
Tb 0.000 0.173 0.558 [8 per cell]
Y 0.000 0.216 0.750 [4 per cell]
Y 0.000 0.442 0.586 [8 per cell]
Pt 0.000 0.207 0.137 [8 per cell]

Largest 6 diffraction maxima, low angle first, 15° ≤ 2θ ≤ 90°:
| 2θ/deg | d/Å | I/Imax |
| --- | --- | --- |
| 31.15 | 2.871 | 48.1 |
| 34.46 | 2.603 | 100.0 |
| 36.29 | 2.476 | 51.2 |
| 41.61 | 2.170 | 18.9 |
| 48.15 | 1.890 | 18.3 |
| 61.77 | 1.502 | 25.0 |

***

No. 6
Structure and simulated XRD peak list of NdTmTe2O (a GGA-PBE-relaxed structure; λ = 1.5418 Å (Cu Kα)).
No peak broadening, texture or thermal motion is included.

Crystal structure
Cell: 4.201 4.201 15.612 Å, 90.00 90.00 90.00°
Space group P4/nmm (No. 129, origin choice 2)
Inequivalent atoms, fractional coordinates:
Nd 0.250 0.250 0.072 [2 per cell]
Tm 0.250 0.250 0.627 [2 per cell]
Te 0.250 0.250 0.415 [2 per cell]
Te 0.250 0.250 0.807 [2 per cell]
O 0.250 0.750 0.000 [2 per cell]

Largest 6 diffraction maxima, low angle first, 15° ≤ 2θ ≤ 90°:
| 2θ/deg | d/Å | I/Imax |
| --- | --- | --- |
| 27.28 | 3.269 | 38.0 |
| 30.08 | 2.971 | 100.0 |
| 35.83 | 2.506 | 43.9 |
| 38.07 | 2.364 | 25.9 |
| 43.06 | 2.101 | 42.2 |
| 57.22 | 1.610 | 22.7 |